No. 1
This entry pairs a crystal structure of NpCu2S3 with its theoretical powder diffraction line list. Radiation: a wavelength of 1.5418 Å. Structure: DFT lattice parameters and positions (PBE).

Top 6 peaks for 2θ = 10–90°, most intense first:
d (Å)	2θ (°)	I/Imax
5.878	15.1	100
2.831	31.6	44
2.374	37.9	37
2.515	35.7	36
2.959	30.2	31
3.062	29.2	28

```
NpCu2S3
1.0
6.710 0.000 0.000
0.000 3.876 0.000
-1.604 0.000 9.276
Np Cu S
2 4 6
Direct
0.162 0.250 0.177
0.838 0.750 0.823
0.217 0.250 0.846
0.401 0.750 0.421
0.599 0.250 0.579
0.783 0.750 0.154
0.050 0.750 0.340
0.232 0.750 0.980
0.472 0.750 0.674
0.528 0.250 0.326
0.768 0.250 0.020
0.950 0.250 0.660
```

No. 2
This entry pairs a crystal structure of SrNp2CuS5 with its theoretical powder diffraction line list. Radiation: a wavelength of 1.5418 Å. Structure: DFT lattice parameters and positions (PBE).

Top 6 peaks for 2θ = 10–90°, most intense first:
d (Å)	2θ (°)	I/Imax
2.680	33.4	100
3.261	27.4	70
6.651	13.3	59
2.087	43.4	42
3.273	27.2	40
3.325	26.8	31

```
SrNp2CuS5
1.0
-3.760 3.760 6.651
3.760 -3.760 6.651
3.760 3.760 -6.651
Sr Np Cu S
2 4 2 10
Direct
0.250 0.250 0.000
0.750 0.750 0.000
0.157 0.657 0.814
0.343 0.157 0.500
0.657 0.843 0.500
0.843 0.343 0.186
0.250 0.750 0.500
0.750 0.250 0.500
0.000 0.000 0.000
0.022 0.212 0.500
0.212 0.712 0.191
0.288 0.478 0.500
0.478 0.978 0.191
0.500 0.500 0.000
0.522 0.022 0.809
0.712 0.522 0.500
0.788 0.288 0.809
0.978 0.788 0.500
```

No. 3
This entry pairs a crystal structure of Tb2NpCuS5 with its theoretical powder diffraction line list. Radiation: a wavelength of 1.5418 Å. Structure: DFT lattice parameters and positions (PBE).

Top 6 peaks for 2θ = 10–90°, most intense first:
d (Å)	2θ (°)	I/Imax
2.653	33.8	100
2.325	38.7	85
3.450	25.8	62
2.766	32.4	51
3.059	29.2	37
3.177	28.1	30

```
Tb2NpCuS5
1.0
1.913 -8.556 0.000
1.913 8.556 0.000
0.000 0.000 11.310
Tb Np Cu S
4 2 2 10
Direct
0.103 0.897 0.500
0.118 0.882 0.123
0.882 0.118 0.623
0.897 0.103 0.000
0.200 0.800 0.824
0.800 0.200 0.324
0.440 0.560 0.267
0.560 0.440 0.767
0.047 0.953 0.876
0.293 0.707 0.496
0.322 0.678 0.157
0.361 0.639 0.818
0.496 0.504 0.591
0.504 0.496 0.091
0.639 0.361 0.318
0.678 0.322 0.657
0.707 0.293 0.996
0.953 0.047 0.376
```

No. 4
This entry pairs a crystal structure of SrNpCu2Se4 with its theoretical powder diffraction line list. Radiation: a wavelength of 1.5418 Å. Structure: DFT lattice parameters and positions (PBE).

Top 6 peaks for 2θ = 10–90°, most intense first:
d (Å)	2θ (°)	I/Imax
2.471	36.4	100
3.097	28.8	99
5.341	16.6	55
2.671	33.6	50
2.580	34.8	49
1.844	49.4	29

```
SrNpCu2Se4
1.0
6.786 0.000 0.000
0.000 7.213 0.000
0.000 0.000 7.948
Sr Np Cu Se
2 2 4 8
Direct
0.000 0.000 0.000
0.500 0.500 0.500
0.000 0.000 0.500
0.500 0.500 0.000
0.000 0.500 0.165
0.000 0.500 0.835
0.500 0.000 0.335
0.500 0.000 0.665
0.246 0.219 0.291
0.246 0.781 0.709
0.254 0.281 0.791
0.254 0.719 0.209
0.746 0.281 0.209
0.746 0.719 0.791
0.754 0.219 0.709
0.754 0.781 0.291
```

What did the fourth record say?
This entry pairs a crystal structure of SrNpCu2Se4 with its theoretical powder diffraction line list. Radiation: a wavelength of 1.5418 Å. Structure: DFT lattice parameters and positions (PBE).

Top 6 peaks for 2θ = 10–90°, most intense first:
d (Å)	2θ (°)	I/Imax
2.471	36.4	100
3.097	28.8	99
5.341	16.6	55
2.671	33.6	50
2.580	34.8	49
1.844	49.4	29

```
SrNpCu2Se4
1.0
6.786 0.000 0.000
0.000 7.213 0.000
0.000 0.000 7.948
Sr Np Cu Se
2 2 4 8
Direct
0.000 0.000 0.000
0.500 0.500 0.500
0.000 0.000 0.500
0.500 0.500 0.000
0.000 0.500 0.165
0.000 0.500 0.835
0.500 0.000 0.335
0.500 0.000 0.665
0.246 0.219 0.291
0.246 0.781 0.709
0.254 0.281 0.791
0.254 0.719 0.209
0.746 0.281 0.209
0.746 0.719 0.791
0.754 0.219 0.709
0.754 0.781 0.291
```